# 1
The following is a theoretical X-ray powder pattern of CeTm2Pt9. It was derived from a structure optimized by DFT (GGA-PBE), using Cu Kα X-rays.

Crystal structure
a = 4.1181 Å, b = 4.1181 Å, c = 12.3511 Å
α = 90.00°, β = 90.00°, γ = 90.00°
Positions (direct):
Ce (0.0000, 0.0000, 0.0000)
Tm (0.0000, 0.0000, 0.3365)
Tm (0.0000, 0.0000, 0.6635)
Pt (0.0000, 0.5000, 0.1683)
Pt (0.0000, 0.5000, 0.5000)
Pt (0.0000, 0.5000, 0.8317)
Pt (0.5000, 0.0000, 0.1683)
Pt (0.5000, 0.0000, 0.5000)
Pt (0.5000, 0.0000, 0.8317)
Pt (0.5000, 0.5000, 0.0000)
Pt (0.5000, 0.5000, 0.3348)
Pt (0.5000, 0.5000, 0.6652)

Top 7 peaks for 10 to 90 degrees two-theta, low angle first:
d 4.118, 21.6 deg, rel. 1
d 2.912, 30.7 deg, rel. 1
d 2.377, 37.8 deg, rel. 100
d 2.059, 44.0 deg, rel. 49
d 1.456, 63.9 deg, rel. 33
d 1.242, 76.8 deg, rel. 39
d 1.189, 80.9 deg, rel. 11

=====

# 2
The following is a theoretical X-ray powder pattern of AsPtAu4. It was derived from a structure optimized by DFT (GGA-PBE), using Cu Kα X-rays.

Crystal structure
a = 5.4590 Å, b = 5.4590 Å, c = 5.4590 Å
α = 60.00°, β = 60.00°, γ = 60.00°
Positions (direct):
As (0.0000, 0.0000, 0.0000)
Pt (0.2500, 0.2500, 0.2500)
Au (0.1254, 0.6249, 0.6249)
Au (0.6249, 0.1254, 0.6249)
Au (0.6249, 0.6249, 0.1254)
Au (0.6249, 0.6249, 0.6249)

Top 8 peaks for 10 to 90 degrees two-theta, low angle first:
d 4.457, 19.9 deg, rel. 24
d 2.729, 32.8 deg, rel. 16
d 2.328, 38.7 deg, rel. 100
d 2.229, 40.5 deg, rel. 54
d 1.486, 62.5 deg, rel. 33
d 1.365, 68.8 deg, rel. 30
d 1.177, 81.8 deg, rel. 12
d 1.164, 83.0 deg, rel. 22